Theoretical X-ray powder pattern of Li3Be for Cu Kα (weighted mean of Kα1 and Kα2), from a DFT-relaxed cell (PBE, the Materials Project).
Intensities are scaled so that the largest is 100.

The 6 most intense peaks (2θ = 5–70°), in order of rising 2θ:
2θ/deg  I (rel.)  (hkl)
18.6  5  1 0 0
37.7  24  2 0 0
39.8  28  0 0 2
42.9  100  2 0 1
56.0  15  2 0 2
68.1  16  2 2 0

Structure:
Unit cell a=5.5063 b=5.5063 c=4.5281 alpha=90.00 beta=90.00 gamma=120.00
Space group P6_3/mmc (No. 194)
One atom of each set of equivalent atoms:
Li  0.1739  0.3478  0.2500 [6 per cell]
Be  0.3333  0.6667  0.7500 [2 per cell]

---

Theoretical X-ray powder pattern of Cu2GeSe3 for Cu Kα (weighted mean of Kα1 and Kα2), from a DFT-relaxed cell (PBE, the Materials Project).
Intensities are scaled so that the largest is 100.

The 6 most intense peaks (2θ = 5–70°), in order of rising 2θ:
2θ/deg  I (rel.)  (hkl)
27.2  100  1 0 1
27.7  98  0 3 1
44.8  25  2 0 0
45.7  94  1 3 2
53.5  30  2 3 1
54.3  42  1 0 3

Structure:
Unit cell a=4.042 b=11.853 c=5.578 alpha=90.00 beta=90.00 gamma=90.00
Space group Imm2 (No. 44)
One atom of each set of equivalent atoms:
Cu  0.000  0.167  0.000 [4 per cell]
Ge  0.000  0.500  0.029 [2 per cell]
Se  0.000  0.000  0.254 [2 per cell]
Se  0.000  0.329  0.266 [4 per cell]

---

Theoretical X-ray powder pattern of VFe2Se4 for Cu Kα (weighted mean of Kα1 and Kα2), from a DFT-relaxed cell (PBE, the Materials Project).
Intensities are scaled so that the largest is 100.

The 6 most intense peaks (2θ = 5–70°), in order of rising 2θ:
2θ/deg  I (rel.)  (hkl)
8.8  100  0 0 1
11.5  33  0 1 0
14.0  24  0 1 1
14.6  10  1 1 1
19.5  14  1 1 2
26.7  9  1 1 3

Structure:
Unit cell a=7.686 b=8.173 c=10.437 alpha=80.93 beta=74.34 gamma=70.42
Space group P1 (No. 1)
One atom of each set of equivalent atoms:
V  0.000  0.000  0.000 [1 per cell]
Fe  0.414  0.105  0.095 [1 per cell]
Fe  0.681  0.195  0.990 [1 per cell]
Se  0.141  0.029  0.162 [1 per cell]
Se  0.378  0.393  0.049 [1 per cell]
Se  0.729  0.914  0.110 [1 per cell]
Se  0.956  0.203  0.824 [1 per cell]